[1]
Starting from a DFT-relaxed cell (PBE, Alexandria), the powder XRD pattern of Ba4Sr2Ca2Ac was calculated for Cu Kα, 1.54184 Å.
Kinematic intensities with the Lorentz-polarization factor, no thermal factor.

Atomic structure:
a = 6.779 Å, b = 7.900 Å, c = 10.437 Å
α = 81.16°, β = 71.11°, γ = 64.69°
Fractional coordinates of all 9 atoms:
Ba  0.173  0.318  0.338
Ba  0.279  0.553  0.888
Ba  0.721  0.447  0.112
Ba  0.827  0.682  0.662
Sr  0.062  0.107  0.770
Sr  0.938  0.893  0.230
Ca  0.397  0.768  0.437
Ca  0.603  0.232  0.563
Ac  0.500  0.000  0.000

Largest 10 diffraction maxima, in order of rising 2θ, 2θ from 15° to 90°:
2θ 26.30, intensity 28; 2θ 26.40, intensity 27; 2θ 26.76, intensity 100; 2θ 37.56, intensity 10; 2θ 37.64, intensity 10; 2θ 46.68, intensity 18; 2θ 46.77, intensity 16; 2θ 46.84, intensity 10; 2θ 47.53, intensity 15; 2θ 55.15, intensity 13


[2]
Starting from a DFT-relaxed cell (PBE, Alexandria), the powder XRD pattern of PrDy5Y4 was calculated for Cu Kα, 1.54184 Å.
Kinematic intensities with the Lorentz-polarization factor, no thermal factor.

Atomic structure:
a = 7.884 Å, b = 7.884 Å, c = 7.884 Å
α = 99.35°, β = 99.35°, γ = 132.46°
Fractional coordinates of all 10 atoms:
Pr  0.000  0.000  0.000
Dy  0.042  0.128  0.625
Dy  0.128  0.503  0.086
Dy  0.418  0.042  0.914
Dy  0.503  0.418  0.375
Dy  0.545  0.545  0.000
Y  0.114  0.816  0.393
Y  0.423  0.721  0.607
Y  0.721  0.114  0.298
Y  0.816  0.423  0.702

Largest 10 diffraction maxima, in order of rising 2θ, 2θ from 15° to 90°:
2θ 27.65, intensity 68; 2θ 28.08, intensity 27; 2θ 29.79, intensity 100; 2θ 30.74, intensity 32; 2θ 33.21, intensity 48; 2θ 34.70, intensity 61; 2θ 37.39, intensity 27; 2θ 39.81, intensity 50; 2θ 54.10, intensity 33; 2θ 56.76, intensity 23


[3]
Starting from a DFT-relaxed cell (PBE, Alexandria), the powder XRD pattern of Li3Dy3ScSe8 was calculated for Cu Kα, 1.54184 Å.
Kinematic intensities with the Lorentz-polarization factor, no thermal factor.

Atomic structure:
a = 7.944 Å, b = 7.944 Å, c = 7.944 Å
α = 61.00°, β = 61.00°, γ = 61.00°
Fractional coordinates of all 15 atoms:
Li  0.000  0.500  0.500
Li  0.500  0.000  0.500
Li  0.500  0.500  0.000
Dy  0.000  0.000  0.500
Dy  0.000  0.500  0.000
Dy  0.500  0.000  0.000
Sc  0.500  0.500  0.500
Se  0.252  0.252  0.252
Se  0.258  0.258  0.738
Se  0.258  0.738  0.258
Se  0.262  0.742  0.742
Se  0.738  0.258  0.258
Se  0.742  0.262  0.742
Se  0.742  0.742  0.262
Se  0.748  0.748  0.748

Largest 10 diffraction maxima, in order of rising 2θ, 2θ from 15° to 90°:
2θ 25.93, intensity 31; 2θ 31.62, intensity 100; 2θ 34.63, intensity 14; 2θ 44.97, intensity 37; 2θ 45.69, intensity 36; 2θ 47.24, intensity 13; 2θ 56.01, intensity 19; 2θ 74.54, intensity 16; 2θ 75.61, intensity 16; 2θ 83.48, intensity 12